[1]
This entry pairs a crystal structure of NaTl8Hg2 with its calculated XRD peak list. Radiation: copper Kα. Structure: a crystal structure in Alexandria, relaxed with PBE.
Peak positions follow from Bragg's law for the DFT cell and can differ from measured ones.

a = 9.105 Å, b = 9.105 Å, c = 6.189 Å
α = 100.20°, β = 100.20°, γ = 42.56°
Element x y z (fractional)
Na 0.000 0.000 0.000
Tl 0.170 0.661 0.570
Tl 0.247 0.247 0.360
Tl 0.339 0.830 0.430
Tl 0.398 0.398 0.054
Tl 0.602 0.602 0.946
Tl 0.661 0.170 0.570
Tl 0.753 0.753 0.640
Tl 0.830 0.339 0.430
Hg 0.192 0.192 0.856
Hg 0.808 0.808 0.144

Top 10 peaks for 10 to 90 degrees two-theta, low angle first:
29.1 deg, I = 53
30.0 deg, I = 41
30.8 deg, I = 64
31.1 deg, I = 47
31.9 deg, I = 35
32.2 deg, I = 35
33.3 deg, I = 51
33.6 deg, I = 100
36.1 deg, I = 31
64.2 deg, I = 26



[2]
This entry pairs a crystal structure of B3C5 with its calculated XRD peak list. Radiation: copper Kα. Structure: a crystal structure in Alexandria, relaxed with PBE.
Peak positions follow from Bragg's law for the DFT cell and can differ from measured ones.

a = 2.457 Å, b = 2.569 Å, c = 8.181 Å
α = 90.00°, β = 90.00°, γ = 90.00°
Element x y z (fractional)
B 0.000 0.000 0.000
B 0.000 0.500 0.421
B 0.500 0.000 0.168
C 0.000 0.000 0.550
C 0.000 0.500 0.877
C 0.500 0.000 0.655
C 0.500 0.500 0.286
C 0.500 0.500 0.771

Top 10 peaks for 10 to 90 degrees two-theta, low angle first:
10.8 deg, I = 74
21.7 deg, I = 7
41.5 deg, I = 100
42.9 deg, I = 87
70.2 deg, I = 47
73.8 deg, I = 12
77.7 deg, I = 11
79.6 deg, I = 12
80.6 deg, I = 6
89.3 deg, I = 15



[3]
This entry pairs a crystal structure of Nd9HoTl2 with its calculated XRD peak list. Radiation: copper Kα. Structure: a crystal structure in Alexandria, relaxed with PBE.
Peak positions follow from Bragg's law for the DFT cell and can differ from measured ones.

a = 5.012 Å, b = 5.012 Å, c = 15.401 Å
α = 90.00°, β = 90.00°, γ = 90.00°
Element x y z (fractional)
Nd 0.000 0.000 0.000
Nd 0.000 0.000 0.337
Nd 0.000 0.000 0.663
Nd 0.000 0.500 0.172
Nd 0.000 0.500 0.500
Nd 0.000 0.500 0.828
Nd 0.500 0.000 0.172
Nd 0.500 0.000 0.500
Nd 0.500 0.000 0.828
Ho 0.500 0.500 0.000
Tl 0.500 0.500 0.339
Tl 0.500 0.500 0.661

Top 10 peaks for 10 to 90 degrees two-theta, low angle first:
30.7 deg, I = 100
35.0 deg, I = 17
35.8 deg, I = 33
50.9 deg, I = 24
51.6 deg, I = 12
60.0 deg, I = 14
61.2 deg, I = 28
63.8 deg, I = 12
83.1 deg, I = 11
84.1 deg, I = 6



[4]
This entry pairs a crystal structure of Ac2Dy3Er8 with its calculated XRD peak list. Radiation: copper Kα. Structure: a crystal structure in Alexandria, relaxed with PBE.
Peak positions follow from Bragg's law for the DFT cell and can differ from measured ones.

a = 11.489 Å, b = 11.489 Å, c = 5.429 Å
α = 90.02°, β = 90.02°, γ = 39.30°
Element x y z (fractional)
Ac 0.239 0.239 0.499
Ac 0.761 0.761 0.501
Dy 0.000 0.000 0.500
Dy 0.293 0.707 0.000
Dy 0.707 0.293 0.000
Er 0.117 0.117 0.000
Er 0.184 0.610 0.500
Er 0.349 0.349 0.000
Er 0.390 0.816 0.500
Er 0.610 0.184 0.500
Er 0.651 0.651 0.000
Er 0.816 0.390 0.500
Er 0.883 0.883 0.000

Top 10 peaks for 10 to 90 degrees two-theta, low angle first:
24.5 deg, I = 13
28.8 deg, I = 20
29.7 deg, I = 20
32.9 deg, I = 100
33.1 deg, I = 11
47.4 deg, I = 8
58.7 deg, I = 9
58.9 deg, I = 14
59.3 deg, I = 7
63.0 deg, I = 8



[5]
This entry pairs a crystal structure of LaNd6Ho3Tm2 with its calculated XRD peak list. Radiation: copper Kα. Structure: a crystal structure in Alexandria, relaxed with PBE.
Peak positions follow from Bragg's law for the DFT cell and can differ from measured ones.

a = 6.279 Å, b = 6.279 Å, c = 11.913 Å
α = 95.04°, β = 95.04°, γ = 120.00°
Element x y z (fractional)
La 0.000 0.000 0.000
Nd 0.084 0.419 0.252
Nd 0.250 0.250 0.748
Nd 0.419 0.084 0.252
Nd 0.581 0.916 0.748
Nd 0.750 0.750 0.252
Nd 0.916 0.581 0.748
Ho 0.167 0.833 0.500
Ho 0.500 0.500 0.500
Ho 0.833 0.167 0.500
Tm 0.333 0.667 0.000
Tm 0.667 0.333 0.000

Top 10 peaks for 10 to 90 degrees two-theta, low angle first:
30.2 deg, I = 100
30.5 deg, I = 33
35.1 deg, I = 67
50.3 deg, I = 24
50.7 deg, I = 24
59.9 deg, I = 14
60.0 deg, I = 29
60.3 deg, I = 14
62.9 deg, I = 12
81.9 deg, I = 12



[6]
This entry pairs a crystal structure of CeNi2B3 with its calculated XRD peak list. Radiation: copper Kα. Structure: a crystal structure in Alexandria, relaxed with PBE.
Peak positions follow from Bragg's law for the DFT cell and can differ from measured ones.

a = 7.229 Å, b = 7.229 Å, c = 7.229 Å
α = 116.39°, β = 116.39°, γ = 96.38°
Element x y z (fractional)
Ce 0.000 0.000 0.000
Ce 0.372 0.372 0.000
Ce 0.442 0.942 0.500
Ce 0.942 0.442 0.500
Ni 0.319 0.319 0.564
Ni 0.319 0.755 0.000
Ni 0.498 0.725 0.773
Ni 0.725 0.498 0.773
Ni 0.725 0.953 0.227
Ni 0.755 0.319 0.000
Ni 0.755 0.755 0.436
Ni 0.953 0.725 0.227
B 0.071 0.071 0.467
B 0.071 0.604 0.000
B 0.093 0.479 0.165
B 0.093 0.929 0.614
B 0.314 0.479 0.386
B 0.314 0.929 0.835
B 0.479 0.093 0.165
B 0.479 0.314 0.386
B 0.604 0.071 0.000
B 0.604 0.604 0.533
B 0.929 0.093 0.614
B 0.929 0.314 0.835

Top 10 peaks for 10 to 90 degrees two-theta, low angle first:
27.8 deg, I = 31
29.9 deg, I = 54
30.2 deg, I = 25
33.3 deg, I = 31
38.3 deg, I = 100
38.5 deg, I = 18
44.5 deg, I = 20
45.5 deg, I = 19
47.7 deg, I = 37
57.4 deg, I = 17